Record 1
Computed powder diffractogram
Compound: EuTlRh2
Radiation: Cu Kα X-rays
Structure: a crystal structure in Alexandria, relaxed with GGA-PBE

Principal peaks in the range 10° ≤ 2θ ≤ 90°, by angle:
Position (°2θ)  Rel. int.
25.9  8
37.0  54
37.4  100
53.3  19
54.6  7
66.9  36
67.8  16
79.8  10

Cell and atoms:
Cell: 3.4396 3.4396 6.7216 Å, 90.00 90.00 90.00°
Sites, in units of the cell vectors:
Eu  0.0000  0.0000  0.0000
Tl  0.0000  0.0000  0.5000
Rh  0.5000  0.5000  0.2754
Rh  0.5000  0.5000  0.7246

Record 2
Computed powder diffractogram
Compound: NdDy6Tm4
Radiation: Cu Kα X-rays
Structure: a crystal structure in Alexandria, relaxed with GGA-PBE

Principal peaks in the range 10° ≤ 2θ ≤ 90°, by angle:
Position (°2θ)  Rel. int.
30.6  62
30.7  41
31.7  56
32.1  100
33.5  40
44.7  29
56.4  17
56.7  20

Cell and atoms:
Cell: 5.5801 5.5801 25.5834 Å, 90.00 90.00 119.19°
Sites, in units of the cell vectors:
Nd  0.1817  0.8183  0.7500
Nd  0.8183  0.1817  0.2500
Dy  0.1499  0.8501  0.1803
Dy  0.1499  0.8501  0.3197
Dy  0.1823  0.8177  0.6010
Dy  0.1823  0.8177  0.8990
Dy  0.4842  0.5158  0.2500
Dy  0.5000  0.5000  0.0000
Dy  0.5000  0.5000  0.5000
Dy  0.5158  0.4842  0.7500
Dy  0.8177  0.1823  0.1010
Dy  0.8177  0.1823  0.3990
Dy  0.8501  0.1499  0.6803
Dy  0.8501  0.1499  0.8197
Tm  0.1605  0.8395  0.0421
Tm  0.1605  0.8395  0.4579
Tm  0.4809  0.5191  0.1215
Tm  0.4809  0.5191  0.3785
Tm  0.5191  0.4809  0.6215
Tm  0.5191  0.4809  0.8785
Tm  0.8395  0.1605  0.5421
Tm  0.8395  0.1605  0.9579

Record 3
Computed powder diffractogram
Compound: PmSm6In5
Radiation: Cu Kα X-rays
Structure: a crystal structure in Alexandria, relaxed with GGA-PBE

Principal peaks in the range 10° ≤ 2θ ≤ 90°, by angle:
Position (°2θ)  Rel. int.
32.0  100
34.0  20
34.9  22
42.0  12
49.5  14
59.6  14
60.7  16
66.9  10

Cell and atoms:
Cell: 8.3196 8.3196 8.6054 Å, 90.00 90.00 143.98°
Sites, in units of the cell vectors:
Pm  0.0000  0.0000  0.0000
Sm  0.1727  0.8273  0.2496
Sm  0.1727  0.8273  0.7504
Sm  0.5000  0.5000  0.2726
Sm  0.5000  0.5000  0.7274
Sm  0.8273  0.1727  0.2496
Sm  0.8273  0.1727  0.7504
In  0.0000  0.0000  0.5000
In  0.3288  0.6712  0.5000
In  0.3524  0.6476  0.0000
In  0.6476  0.3524  0.0000
In  0.6712  0.3288  0.5000

Record 4
Computed powder diffractogram
Compound: Sr3ICl5
Radiation: Cu Kα X-rays
Structure: a crystal structure in Alexandria, relaxed with GGA-PBE

Principal peaks in the range 10° ≤ 2θ ≤ 90°, by angle:
Position (°2θ)  Rel. int.
17.6  38
18.7  100
27.0  40
28.2  33
34.1  46
34.8  40
43.7  37
44.3  36

Cell and atoms:
Cell: 8.3633 8.3633 10.9848 Å, 109.24 109.24 69.05°
Sites, in units of the cell vectors:
Sr  0.0000  0.0000  0.0000
Sr  0.0000  0.0000  0.5000
Sr  0.3289  0.3289  0.3291
Sr  0.3585  0.3585  0.8151
Sr  0.6415  0.6415  0.1849
Sr  0.6711  0.6711  0.6709
I  0.1248  0.1248  0.8142
I  0.8752  0.8752  0.1858
Cl  0.0374  0.6493  0.8203
Cl  0.2297  0.2297  0.5278
Cl  0.3102  0.6898  0.5000
Cl  0.3507  0.9626  0.1797
Cl  0.4181  0.4181  0.1162
Cl  0.5819  0.5819  0.8838
Cl  0.6493  0.0374  0.8203
Cl  0.6898  0.3102  0.5000
Cl  0.7703  0.7703  0.4722
Cl  0.9626  0.3507  0.1797

Record 5
Computed powder diffractogram
Compound: Tm2Al2InPd5
Radiation: Cu Kα X-rays
Structure: a crystal structure in Alexandria, relaxed with GGA-PBE

Principal peaks in the range 10° ≤ 2θ ≤ 90°, by angle:
Position (°2θ)  Rel. int.
31.4  64
35.2  37
37.4  67
37.6  100
40.7  22
40.9  31
49.0  25
63.3  28

Cell and atoms:
Cell: 9.9027 9.9027 3.7164 Å, 90.00 90.00 90.00°
Sites, in units of the cell vectors:
Tm  0.1782  0.3218  0.0000
Tm  0.3218  0.8218  0.0000
Tm  0.6782  0.1782  0.0000
Tm  0.8218  0.6782  0.0000
Al  0.1189  0.6189  0.0000
Al  0.3811  0.1189  0.0000
Al  0.6189  0.8811  0.0000
Al  0.8811  0.3811  0.0000
In  0.0000  0.0000  0.0000
In  0.5000  0.5000  0.0000
Pd  0.0000  0.5000  0.5000
Pd  0.0666  0.7871  0.5000
Pd  0.2129  0.0666  0.5000
Pd  0.2871  0.5666  0.5000
Pd  0.4334  0.2871  0.5000
Pd  0.5000  0.0000  0.5000
Pd  0.5666  0.7129  0.5000
Pd  0.7129  0.4334  0.5000
Pd  0.7871  0.9334  0.5000
Pd  0.9334  0.2129  0.5000

Record 6
Computed powder diffractogram
Compound: Ac2Tb6Er3
Radiation: Cu Kα X-rays
Structure: a crystal structure in Alexandria, relaxed with GGA-PBE

Principal peaks in the range 10° ≤ 2θ ≤ 90°, by angle:
Position (°2θ)  Rel. int.
30.2  34
30.6  100
35.4  67
50.7  24
51.1  24
60.1  14
60.5  28
60.8  14

Cell and atoms:
Cell: 6.1909 6.1909 12.0008 Å, 94.95 94.95 120.02°
Sites, in units of the cell vectors:
Ac  0.1669  0.8331  0.0000
Ac  0.8331  0.1669  0.0000
Tb  0.0801  0.4132  0.7387
Tb  0.2539  0.2539  0.2609
Tb  0.4132  0.0801  0.7387
Tb  0.5868  0.9199  0.2613
Tb  0.7461  0.7461  0.7391
Tb  0.9199  0.5868  0.2613
Er  0.0000  0.0000  0.5000
Er  0.3346  0.6654  0.5000
Er  0.6654  0.3346  0.5000

Record 7
Computed powder diffractogram
Compound: NaTl4Hg7
Radiation: Cu Kα X-rays
Structure: a crystal structure in Alexandria, relaxed with GGA-PBE

Principal peaks in the range 10° ≤ 2θ ≤ 90°, by angle:
Position (°2θ)  Rel. int.
32.7  100
33.8  95
47.7  38
57.6  19
59.7  37
60.4  18
78.5  15
80.4  17

Cell and atoms:
Cell: 5.3105 5.3105 13.6538 Å, 90.00 90.00 120.00°
Sites, in units of the cell vectors:
Na  0.0000  0.0000  0.0000
Tl  0.3333  0.6667  0.1513
Tl  0.3333  0.6667  0.4127
Tl  0.6667  0.3333  0.5873
Tl  0.6667  0.3333  0.8487
Hg  0.0000  0.0000  0.2500
Hg  0.0000  0.0000  0.5000
Hg  0.0000  0.0000  0.7500
Hg  0.3333  0.6667  0.6750
Hg  0.3333  0.6667  0.9145
Hg  0.6667  0.3333  0.0855
Hg  0.6667  0.3333  0.3250

Record 8
Computed powder diffractogram
Compound: Ac2PuAs4Pd3
Radiation: Cu Kα X-rays
Structure: a crystal structure in Alexandria, relaxed with GGA-PBE

Principal peaks in the range 10° ≤ 2θ ≤ 90°, by angle:
Position (°2θ)  Rel. int.
28.8  18
31.4  49
32.2  100
38.4  16
39.4  58
51.3  25
57.0  20
67.0  25

Cell and atoms:
Cell: 4.5712 4.5712 10.9056 Å, 90.00 90.00 90.00°
Sites, in units of the cell vectors:
Ac  0.0000  0.5000  0.2251
Ac  0.5000  0.0000  0.7749
Pu  0.0000  0.0000  0.5000
As  0.0000  0.0000  0.0000
As  0.0000  0.5000  0.6562
As  0.5000  0.0000  0.3438
As  0.5000  0.5000  0.0000
Pd  0.0000  0.5000  0.8926
Pd  0.5000  0.0000  0.1074
Pd  0.5000  0.5000  0.5000